1.
# Na2SrCd2Sn2
Theoretical X-ray powder pattern, Cu Kα. Input: a PBE-relaxed structure.
No peak broadening, texture or thermal motion is included.

Most intense lines, 10 to 90 degrees two-theta, low angle first:
Position (°2θ)  d/Å  Rel. int.
18.60  4.770  57
25.93  3.436  32
30.17  2.962  69
32.57  2.749  27
36.21  2.481  100
37.72  2.385  19
41.01  2.201  46
47.83  1.902  19
53.28  1.719  41
61.29  1.512  16
61.43  1.509  17
65.13  1.432  18

Cell and atoms:
```
data_Na2SrCd2Sn2
_chemical_formula_sum 'Na6 Sr3 Cd6 Sn6'
_symmetry_space_group_name_H-M 'R -3 m'
_symmetry_Int_Tables_number 166
_symmetry_space_group_name_Hall '-R 3 2"'
_cell_length_a 4.9616
_cell_length_b 4.9616
_cell_length_c 28.6190
_cell_angle_alpha 90.00
_cell_angle_beta 90.00
_cell_angle_gamma 120.00
loop_
_atom_site_label
_atom_site_fract_x
_atom_site_fract_y
_atom_site_fract_z
Na1 0.0000 0.0000 0.1385
Sr1 0.0000 0.0000 0.0000
Cd1 0.0000 0.0000 0.4129
Sn1 0.0000 0.0000 0.2578
```

***

2.
# Th2TaPdN5
Theoretical X-ray powder pattern, Cu Kα. Input: a PBE-relaxed structure.
No peak broadening, texture or thermal motion is included.

Most intense lines, 10 to 90 degrees two-theta, low angle first:
Position (°2θ)  d/Å  Rel. int.
27.14  3.286  27
28.00  3.187  29
28.41  3.142  100
31.60  2.831  40
31.98  2.799  46
33.22  2.697  61
34.29  2.615  35
37.24  2.415  82
41.43  2.179  24
46.50  1.953  21
55.72  1.650  22
62.23  1.492  22

Cell and atoms:
```
data_Th2TaPdN5
_chemical_formula_sum 'Th8 Ta4 Pd4 N20'
_symmetry_space_group_name_H-M 'C m c 21'
_symmetry_Int_Tables_number 36
_symmetry_space_group_name_Hall 'C 2c -2'
_cell_length_a 3.3900
_cell_length_b 13.3571
_cell_length_c 10.6823
_cell_angle_alpha 90.00
_cell_angle_beta 90.00
_cell_angle_gamma 90.00
loop_
_atom_site_label
_atom_site_fract_x
_atom_site_fract_y
_atom_site_fract_z
Th1 0.0000 0.0996 0.0000
Th2 0.0000 0.1430 0.6265
Ta1 0.0000 0.2014 0.3373
Pd1 0.0000 0.4725 0.7720
N1 0.0000 0.0639 0.4029
N2 0.0000 0.2764 0.9699
N3 0.0000 0.3182 0.7028
N4 0.0000 0.3639 0.3165
N5 0.0000 0.4864 0.0856
```

***

3.
# PaBe2H8Pd
Theoretical X-ray powder pattern, Cu Kα. Input: a PBE-relaxed structure.
No peak broadening, texture or thermal motion is included.

Most intense lines, 10 to 90 degrees two-theta, low angle first:
Position (°2θ)  d/Å  Rel. int.
13.26  6.675  15
23.37  3.806  100
26.71  3.338  22
26.97  3.306  17
35.78  2.509  71
41.08  2.197  26
47.80  1.903  15
49.68  1.835  27
55.60  1.653  21
60.59  1.528  15
64.82  1.438  12
71.41  1.321  20

Cell and atoms:
```
data_PaBe2H8Pd
_chemical_formula_sum 'Pa1 Be2 H8 Pd1'
_symmetry_space_group_name_H-M 'P -3 m 1'
_symmetry_Int_Tables_number 164
_symmetry_space_group_name_Hall '-P 3 2"'
_cell_length_a 4.3945
_cell_length_b 4.3945
_cell_length_c 6.6752
_cell_angle_alpha 90.00
_cell_angle_beta 90.00
_cell_angle_gamma 120.00
loop_
_atom_site_label
_atom_site_fract_x
_atom_site_fract_y
_atom_site_fract_z
Pa1 0.0000 0.0000 0.0000
Be1 0.3333 0.6667 0.2302
H1 0.1530 0.3059 0.2853
H2 0.3333 0.6667 0.9984
Pd1 0.0000 0.0000 0.5000
```